Diffraction record for YPaMnO6. The X-ray diffraction stick pattern is theoretical, not measured: it uses a PBE+U-relaxed structure and copper Kα.
Peak positions follow from Bragg's law for the DFT cell and can differ from measured ones.

```
data_YPaMnO6
_cell_length_a 5.347
_cell_length_b 5.347
_cell_length_c 4.792
_cell_angle_alpha 90.00
_cell_angle_beta 90.00
_cell_angle_gamma 120.00
_symmetry_space_group_name_H-M 'P 1'
_symmetry_Int_Tables_number 1
loop_
_symmetry_equiv_pos_as_xyz
'x,y,z'
loop_
_atom_site_label
_atom_site_fract_x
_atom_site_fract_y
_atom_site_fract_z
Y1 0.000 0.000 0.000
Pa1 0.667 0.333 0.500
Mn1 0.333 0.667 0.000
O1 0.022 0.375 0.234
O2 0.022 0.647 0.766
O3 0.353 0.375 0.766
O4 0.353 0.978 0.234
O5 0.625 0.647 0.234
O6 0.625 0.978 0.766
```

The 10 most intense peaks (10° ≤ 2θ ≤ 80°), low angle first:
2θ/deg, I/Imax
19.17, 27
26.77, 100
33.52, 33
42.48, 8
43.41, 28
51.20, 32
55.93, 26
59.93, 11
61.40, 10
76.85, 10